1.
K3Li2Au7: computed X-ray powder pattern (copper Kα), based on a cell relaxed with PBE.
Peak positions follow from Bragg's law for the DFT cell and can differ from measured ones.

The 12 most intense peaks (10° ≤ 2θ ≤ 80°), in order of rising 2θ:
| index | two_theta | I/Imax |
| --- | --- | --- |
| 1 0 1 | 18.2 | 678 |
| 0 0 6 | 18.8 | 702 |
| 0 0 9 | 28.5 | 252 |
| 0 1 8 | 31.1 | 310 |
| 0 2 1 | 36.4 | 528 |
| 2 0 2 | 36.8 | 1000 |
| 0 0 12 | 38.2 | 274 |
| 2 0 5 | 39.7 | 527 |
| 0 2 7 | 42.9 | 593 |
| 2 0 14 | 59.1 | 284 |
| 2 2 0 | 65.3 | 251 |
| 2 2 12 | 78.2 | 212 |

Crystal structure
```
data_K3Li2Au7
_cell_length_a 5.7178
_cell_length_b 5.7178
_cell_length_c 28.2521
_cell_angle_alpha 90.00
_cell_angle_beta 90.00
_cell_angle_gamma 120.00
_space_group_name_H-M_alt 'R -3 m'
_space_group_IT_number 166
_space_group_name_Hall '-R 3 2"'
loop_
_atom_site_label
_atom_site_type_symbol
_atom_site_fract_x
_atom_site_fract_y
_atom_site_fract_z
_atom_site_occupancy
K1 K 0.0000 0.0000 0.0000 1
K2 K 0.0000 0.0000 0.1422 1
Li1 Li 0.0000 0.0000 0.3316 1
Au1 Au 0.0000 0.0000 0.5000 1
Au2 Au 0.0011 0.5005 0.0764 1
```



2.
Sr2ScMo: computed X-ray powder pattern (copper Kα), based on a cell relaxed with PBE.
Peak positions follow from Bragg's law for the DFT cell and can differ from measured ones.

The 12 most intense peaks (10° ≤ 2θ ≤ 80°), in order of rising 2θ:
| index | two_theta | I/Imax |
| --- | --- | --- |
| 1 0 -1 | 25.9 | 451 |
| 0 0 3 | 29.3 | 400 |
| 0 1 2 | 31.0 | 911 |
| 1 0 2 | 31.1 | 305 |
| 1 1 0 | 34.1 | 1000 |
| 1 0 -3 | 38.1 | 422 |
| 1 1 -3 | 45.5 | 231 |
| 1 1 3 | 45.7 | 229 |
| 0 2 0 | 49.0 | 174 |
| 2 0 0 | 49.1 | 173 |
| 0 2 3 | 58.1 | 165 |
| 1 2 2 | 59.1 | 273 |

Crystal structure
```
data_Sr2ScMo
_cell_length_a 3.7108
_cell_length_b 3.7197
_cell_length_c 9.1513
_cell_angle_alpha 90.00
_cell_angle_beta 90.29
_cell_angle_gamma 90.00
_space_group_name_H-M_alt 'P 1 m 1'
_space_group_IT_number 6
loop_
_space_group_symop_operation_xyz
'x,y,z'
'x,-y,z'
loop_
_atom_site_label
_atom_site_type_symbol
_atom_site_fract_x
_atom_site_fract_y
_atom_site_fract_z
_atom_site_occupancy
Sr1 Sr 0.0000 0.0000 0.0000 1
Sr2 Sr 0.4975 0.5000 0.3785 1
Sc1 Sc 0.4989 0.5000 0.7328 1
Mo1 Mo 0.9979 0.0000 0.6243 1
```



3.
Hf8In2Re: computed X-ray powder pattern (copper Kα), based on a cell relaxed with PBE.
Peak positions follow from Bragg's law for the DFT cell and can differ from measured ones.

The 12 most intense peaks (10° ≤ 2θ ≤ 80°), in order of rising 2θ:
| index | two_theta | I/Imax |
| --- | --- | --- |
| 0 1 1 | 14.7 | 74 |
| 0 2 2 | 29.6 | 70 |
| 1 0 5 | 35.9 | 186 |
| 2 0 0 | 36.0 | 333 |
| 0 0 6 | 37.3 | 151 |
| 1 2 3 | 37.5 | 1000 |
| 2 0 6 | 52.9 | 111 |
| 0 4 0 | 55.4 | 93 |
| 0 2 8 | 58.1 | 85 |
| 3 2 3 | 65.8 | 195 |
| 2 4 0 | 67.8 | 157 |
| 2 2 8 | 70.3 | 97 |

Crystal structure
```
data_Hf8In2Re
_cell_length_a 4.9842
_cell_length_b 6.6382
_cell_length_c 14.4498
_cell_angle_alpha 90.00
_cell_angle_beta 90.00
_cell_angle_gamma 90.00
_space_group_name_H-M_alt 'I m m m'
_space_group_IT_number 71
_space_group_name_Hall '-I 2 2'
loop_
_atom_site_label
_atom_site_type_symbol
_atom_site_fract_x
_atom_site_fract_y
_atom_site_fract_z
_atom_site_occupancy
Hf1 Hf 0.0000 0.0000 0.1753 1
Hf2 Hf 0.0000 0.2363 0.3653 1
Hf3 Hf 0.0000 0.2531 0.0000 1
In1 In 0.0000 0.5000 0.1874 1
Re1 Re 0.0000 0.5000 0.5000 1
```



4.
Na17Tl11Pb: computed X-ray powder pattern (copper Kα), based on a cell relaxed with PBE.
Peak positions follow from Bragg's law for the DFT cell and can differ from measured ones.

The 12 most intense peaks (10° ≤ 2θ ≤ 80°), in order of rising 2θ:
| index | two_theta | I/Imax |
| --- | --- | --- |
| 1 1 0 | 10.4 | 113 |
| 2 0 0 | 18.1 | 1000 |
| 2 0 -3 | 25.7 | 152 |
| 1 1 -3 | 27.8 | 115 |
| 4 0 -3 | 31.7 | 519 |
| 3 5 -1 | 35.1 | 684 |
| 0 6 2 | 38.3 | 541 |
| 6 0 -3 | 45.4 | 158 |
| 0 0 5 | 54.1 | 272 |
| 7 1 -2 | 56.4 | 120 |
| 7 5 -5 | 63.0 | 150 |
| 6 0 2 | 73.2 | 142 |

Crystal structure
```
data_Na17Tl11Pb
_cell_length_a 11.9865
_cell_length_b 16.9657
_cell_length_c 10.3695
_cell_angle_alpha 90.00
_cell_angle_beta 125.22
_cell_angle_gamma 90.00
_space_group_name_H-M_alt 'C 1 m 1'
_space_group_IT_number 8
loop_
_space_group_symop_operation_xyz
'x,y,z'
'x,-y,z'
'x+1/2,y+1/2,z'
'x+1/2,-y+1/2,z'
loop_
_atom_site_label
_atom_site_type_symbol
_atom_site_fract_x
_atom_site_fract_y
_atom_site_fract_z
_atom_site_occupancy
Na1 Na 0.0000 0.0000 0.0000 1
Na2 Na 0.0038 0.0000 0.6640 1
Na3 Na 0.0171 0.2922 0.3070 1
Na4 Na 0.0572 0.3617 0.0007 1
Na5 Na 0.0866 0.5000 0.2769 1
Na6 Na 0.2109 0.2076 0.6922 1
Na7 Na 0.3131 0.0000 0.7229 1
Na8 Na 0.3343 0.3334 0.9996 1
Na9 Na 0.3387 0.0000 0.3376 1
Na10 Na 0.3496 0.3453 0.4163 1
Na11 Na 0.4359 0.1532 0.5867 1
Tl1 Tl 0.0039 0.1914 0.8102 1
Tl2 Tl 0.0991 0.0952 0.3827 1
Tl3 Tl 0.1937 0.1905 0.1920 1
Tl4 Tl 0.2166 0.4045 0.6159 1
Tl5 Tl 0.2880 0.0956 0.0000 1
Tl6 Tl 0.3123 0.5000 0.1973 1
Pb1 Pb 0.1269 0.5000 0.8105 1
```



5.
RbAlRhF2: computed X-ray powder pattern (copper Kα), based on a cell relaxed with PBE.
Peak positions follow from Bragg's law for the DFT cell and can differ from measured ones.

The 12 most intense peaks (10° ≤ 2θ ≤ 80°), in order of rising 2θ:
| index | two_theta | I/Imax |
| --- | --- | --- |
| 0 0 1 | 11.3 | 1000 |
| 0 0 2 | 22.7 | 965 |
| 1 1 0 | 33.1 | 341 |
| 1 1 1 | 35.0 | 759 |
| 1 1 2 | 40.5 | 393 |
| 0 0 4 | 46.3 | 133 |
| 2 0 0 | 47.4 | 246 |
| 1 1 3 | 48.4 | 289 |
| 2 0 2 | 53.2 | 345 |
| 1 1 4 | 58.1 | 140 |
| 2 0 4 | 68.5 | 155 |
| 2 2 2 | 74.0 | 122 |

Crystal structure
```
data_RbAlRhF2
_cell_length_a 3.8326
_cell_length_b 3.8326
_cell_length_c 7.8438
_cell_angle_alpha 90.00
_cell_angle_beta 90.00
_cell_angle_gamma 90.00
_space_group_name_H-M_alt 'P 4/m m m'
_space_group_IT_number 123
_space_group_name_Hall '-P 4 2'
loop_
_atom_site_label
_atom_site_type_symbol
_atom_site_fract_x
_atom_site_fract_y
_atom_site_fract_z
_atom_site_occupancy
Rb1 Rb 0.0000 0.0000 0.0000 1
Al1 Al 0.0000 0.0000 0.5000 1
Rh1 Rh 0.5000 0.5000 0.0000 1
F1 F 0.0000 0.5000 0.5000 1
```



6.
CuHg3F6: computed X-ray powder pattern (copper Kα), based on a cell relaxed with PBE.
Peak positions follow from Bragg's law for the DFT cell and can differ from measured ones.

The 12 most intense peaks (10° ≤ 2θ ≤ 80°), in order of rising 2θ:
| index | two_theta | I/Imax |
| --- | --- | --- |
| 1 1 0 | 17.6 | 142 |
| 0 0 3 | 23.3 | 402 |
| 2 1 1 | 28.2 | 1000 |
| 1 1 3 | 29.4 | 470 |
| 3 -2 2 | 31.4 | 497 |
| 4 -1 2 | 40.5 | 251 |
| 2 1 4 | 41.8 | 294 |
| 3 2 1 | 46.1 | 161 |
| 1 4 0 | 47.9 | 199 |
| 2 -1 6 | 51.2 | 199 |
| 5 -1 3 | 53.9 | 130 |
| 4 -1 5 | 55.3 | 128 |

Crystal structure
```
data_CuHg3F6
_cell_length_a 10.0561
_cell_length_b 10.0561
_cell_length_c 11.4409
_cell_angle_alpha 90.00
_cell_angle_beta 90.00
_cell_angle_gamma 120.00
_space_group_name_H-M_alt 'R -3'
_space_group_IT_number 148
_space_group_name_Hall '-R 3'
loop_
_atom_site_label
_atom_site_type_symbol
_atom_site_fract_x
_atom_site_fract_y
_atom_site_fract_z
_atom_site_occupancy
Cu1 Cu 0.0000 0.0000 0.0000 1
Cu2 Cu 0.0000 0.0000 0.5000 1
Hg1 Hg 0.0406 0.2729 0.2026 1
F1 F 0.0235 0.1792 0.8901 1
F2 F 0.0279 0.1916 0.4021 1
```



7.
MnCd2Pb: computed X-ray powder pattern (copper Kα), based on a cell relaxed with PBE.
Peak positions follow from Bragg's law for the DFT cell and can differ from measured ones.

The 12 most intense peaks (10° ≤ 2θ ≤ 80°), in order of rising 2θ:
| index | two_theta | I/Imax |
| --- | --- | --- |
| 0 1 1 | 19.3 | 100 |
| 1 0 1 | 29.3 | 165 |
| 0 1 3 | 29.6 | 343 |
| 0 0 4 | 31.6 | 291 |
| 0 2 0 | 35.7 | 304 |
| 1 1 2 | 37.1 | 1000 |
| 1 2 1 | 46.8 | 96 |
| 0 2 4 | 48.4 | 175 |
| 1 0 5 | 49.5 | 125 |
| 1 1 6 | 60.0 | 113 |
| 1 2 5 | 62.5 | 124 |
| 1 3 2 | 65.1 | 187 |

Crystal structure
```
data_MnCd2Pb
_cell_length_a 3.1697
_cell_length_b 5.0260
_cell_length_c 11.3200
_cell_angle_alpha 90.00
_cell_angle_beta 90.00
_cell_angle_gamma 90.00
_space_group_name_H-M_alt 'I m m m'
_space_group_IT_number 71
_space_group_name_Hall '-I 2 2'
loop_
_atom_site_label
_atom_site_type_symbol
_atom_site_fract_x
_atom_site_fract_y
_atom_site_fract_z
_atom_site_occupancy
Mn1 Mn 0.0000 0.0000 0.0000 1
Cd1 Cd 0.0000 0.5000 0.2849 1
Pb1 Pb 0.0000 0.0000 0.5000 1
```



8.
AcInBr4: computed X-ray powder pattern (copper Kα), based on a cell relaxed with PBE.
Peak positions follow from Bragg's law for the DFT cell and can differ from measured ones.

The 12 most intense peaks (10° ≤ 2θ ≤ 80°), in order of rising 2θ:
| index | two_theta | I/Imax |
| --- | --- | --- |
| 1 0 2 | 13.6 | 419 |
| 1 0 4 | 20.0 | 327 |
| 1 1 1 | 22.1 | 353 |
| 0 1 3 | 22.7 | 212 |
| 1 1 4 | 27.6 | 305 |
| 0 1 5 | 28.5 | 223 |
| 2 1 0 | 28.7 | 352 |
| 2 1 3 | 31.5 | 1000 |
| 3 0 4 | 36.9 | 353 |
| 1 1 7 | 37.2 | 606 |
| 0 2 0 | 38.1 | 651 |
| 3 2 4 | 54.1 | 234 |

Crystal structure
```
data_AcInBr4
_cell_length_a 8.2595
_cell_length_b 4.7142
_cell_length_c 20.9893
_cell_angle_alpha 90.00
_cell_angle_beta 90.00
_cell_angle_gamma 90.00
_space_group_name_H-M_alt 'P n m a'
_space_group_IT_number 62
loop_
_space_group_symop_operation_xyz
'x,y,z'
'-x,-y,-z'
'-x+1/2,-y,z+1/2'
'x+1/2,y,-z+1/2'
'x+1/2,-y+1/2,-z+1/2'
'-x+1/2,y+1/2,z+1/2'
'-x,y+1/2,-z'
'x,-y+1/2,z'
loop_
_atom_site_label
_atom_site_type_symbol
_atom_site_fract_x
_atom_site_fract_y
_atom_site_fract_z
_atom_site_occupancy
Ac1 Ac 0.2472 0.2500 0.0616 1
In1 In 0.1988 0.7500 0.2852 1
Br1 Br 0.0116 0.7500 0.4342 1
Br2 Br 0.0832 0.7500 0.1399 1
Br3 Br 0.0922 0.7500 0.7017 1
Br4 Br 0.1450 0.7500 0.9637 1
```



Copy entry 8 word for word.
AcInBr4: computed X-ray powder pattern (copper Kα), based on a cell relaxed with PBE.
Peak positions follow from Bragg's law for the DFT cell and can differ from measured ones.

The 12 most intense peaks (10° ≤ 2θ ≤ 80°), in order of rising 2θ:
| index | two_theta | I/Imax |
| --- | --- | --- |
| 1 0 2 | 13.6 | 419 |
| 1 0 4 | 20.0 | 327 |
| 1 1 1 | 22.1 | 353 |
| 0 1 3 | 22.7 | 212 |
| 1 1 4 | 27.6 | 305 |
| 0 1 5 | 28.5 | 223 |
| 2 1 0 | 28.7 | 352 |
| 2 1 3 | 31.5 | 1000 |
| 3 0 4 | 36.9 | 353 |
| 1 1 7 | 37.2 | 606 |
| 0 2 0 | 38.1 | 651 |
| 3 2 4 | 54.1 | 234 |

Crystal structure
```
data_AcInBr4
_cell_length_a 8.2595
_cell_length_b 4.7142
_cell_length_c 20.9893
_cell_angle_alpha 90.00
_cell_angle_beta 90.00
_cell_angle_gamma 90.00
_space_group_name_H-M_alt 'P n m a'
_space_group_IT_number 62
loop_
_space_group_symop_operation_xyz
'x,y,z'
'-x,-y,-z'
'-x+1/2,-y,z+1/2'
'x+1/2,y,-z+1/2'
'x+1/2,-y+1/2,-z+1/2'
'-x+1/2,y+1/2,z+1/2'
'-x,y+1/2,-z'
'x,-y+1/2,z'
loop_
_atom_site_label
_atom_site_type_symbol
_atom_site_fract_x
_atom_site_fract_y
_atom_site_fract_z
_atom_site_occupancy
Ac1 Ac 0.2472 0.2500 0.0616 1
In1 In 0.1988 0.7500 0.2852 1
Br1 Br 0.0116 0.7500 0.4342 1
Br2 Br 0.0832 0.7500 0.1399 1
Br3 Br 0.0922 0.7500 0.7017 1
Br4 Br 0.1450 0.7500 0.9637 1
```